# La2ZrAs3Rh4
Calculated powder diffractogram, Cu Ka. Input: a crystal structure in Alexandria, relaxed with PBE.
Peak positions follow from Bragg's law for the DFT cell and can differ from measured ones.

The 12 most intense peaks (5° ≤ 2θ ≤ 70°), low angle first:
d/Å	intensity	index
3.344	5.4	1 0 2
2.955	9.1	1 1 0
2.777	43.6	1 0 3
2.611	100.0	1 1 2
2.319	6.1	1 0 4
2.090	53.4	2 0 0
2.027	21.3	1 1 4
1.967	26.8	1 0 5
1.670	23.0	2 1 3
1.573	6.5	1 1 6
1.478	17.3	2 2 0
1.432	18.9	2 1 5

Crystal structure
a = 4.179 Å, b = 4.179 Å, c = 11.147 Å
α = 90.00°, β = 90.00°, γ = 90.00°
Space group P-4m2 (No. 115)
Inequivalent atoms, fractional coordinates:
La (0.000, 0.500, 0.230) (multiplicity 2)
Zr (0.000, 0.000, 0.500) (multiplicity 1)
As (0.000, 0.500, 0.868) (multiplicity 2)
As (0.500, 0.500, 0.500) (multiplicity 1)
Rh (0.000, 0.000, 0.000) (multiplicity 1)
Rh (0.000, 0.500, 0.645) (multiplicity 2)
Rh (0.500, 0.500, 0.000) (multiplicity 1)

# VNi2Ru
Calculated powder diffractogram, Cu Ka. Input: a crystal structure in Alexandria, relaxed with PBE.
Peak positions follow from Bragg's law for the DFT cell and can differ from measured ones.

The 11 most intense peaks (5° ≤ 2θ ≤ 70°), low angle first:
d/Å	intensity	index
3.566	3.7	0 0 2
3.286	7.2	1 0 1
2.618	3.3	1 1 0
2.110	100.0	1 1 2
2.000	1.8	1 0 3
1.851	32.7	2 0 0
1.783	14.4	0 0 4
1.643	1.7	2 0 2
1.613	1.9	2 1 1
1.474	1.2	1 1 4
1.359	1.1	2 1 3

Crystal structure
a = 3.702 Å, b = 3.702 Å, c = 7.131 Å
α = 90.00°, β = 90.00°, γ = 90.00°
Space group I-4m2 (No. 119)
Inequivalent atoms, fractional coordinates:
V (0.000, 0.000, 0.000) (multiplicity 2)
Ni (0.000, 0.000, 0.500) (multiplicity 2)
Ni (0.000, 0.500, 0.750) (multiplicity 2)
Ru (0.000, 0.500, 0.250) (multiplicity 2)

# Ba2AlPdAu6
Calculated powder diffractogram, Cu Ka. Input: a crystal structure in Alexandria, relaxed with PBE.
Peak positions follow from Bragg's law for the DFT cell and can differ from measured ones.

The 12 most intense peaks (5° ≤ 2θ ≤ 70°), low angle first:
d/Å	intensity	index
6.243	39.3	0 0 1
5.668	26.7	0 1 0
3.177	41.5	1 1 -1
3.016	20.7	2 1 0
2.838	100.0	0 2 0
2.826	51.3	2 2 2
2.516	71.2	0 2 2
2.498	39.2	2 0 2
2.436	22.6	1 1 3
2.233	24.3	2 -1 0
1.892	29.1	3 3 1
1.718	41.6	2 4 2

Crystal structure
a = 6.855 Å, b = 6.872 Å, c = 7.371 Å
α = 62.41°, β = 62.80°, γ = 60.09°
Space group P-1 (No. 2)
Inequivalent atoms, fractional coordinates:
Ba (0.222, 0.220, 0.339) (multiplicity 2)
Al (0.000, 0.000, 0.000) (multiplicity 1)
Pd (0.500, 0.500, 0.500) (multiplicity 1)
Au (0.243, 0.249, 0.833) (multiplicity 2)
Au (0.244, 0.673, 0.835) (multiplicity 2)
Au (0.335, 0.754, 0.158) (multiplicity 2)

# Li4Cu3
Calculated powder diffractogram, Cu Ka. Input: a crystal structure in Alexandria, relaxed with PBE.
Peak positions follow from Bragg's law for the DFT cell and can differ from measured ones.

The 12 most intense peaks (5° ≤ 2θ ≤ 70°), low angle first:
d/Å	intensity	index
14.126	51.3	0 0 2
7.063	100.0	0 0 4
3.532	3.7	0 0 8
2.825	4.2	0 0 10
2.552	22.6	1 0 3
2.216	43.0	1 0 7
2.026	3.0	1 0 9
2.018	6.9	0 0 14
1.875	13.2	1 1 0
1.845	16.8	1 0 11
1.812	11.7	1 1 4
1.374	7.2	1 1 14

Crystal structure
a = 2.651 Å, b = 2.651 Å, c = 28.253 Å
α = 90.00°, β = 90.00°, γ = 90.00°
Space group I4/mmm (No. 139)
Inequivalent atoms, fractional coordinates:
Li (0.000, 0.000, 0.067) (multiplicity 4)
Li (0.000, 0.000, 0.346) (multiplicity 4)
Cu (0.000, 0.000, 0.220) (multiplicity 4)
Cu (0.000, 0.000, 0.500) (multiplicity 2)